No. 1
Starting from a structure optimized by DFT (PBE+U), the powder diffractogram of ZnCrSi2O6 was computed for Cu Kα (weighted mean of Kα1 and Kα2).

Structure:
Unit cell a=6.9451 b=6.9451 c=5.3520 alpha=105.24 beta=105.24 gamma=88.00
Sites, in units of the cell vectors:
1 Zn 0.2414 0.7586 0.7500
2 Zn 0.7586 0.2414 0.2500
3 Cr 0.1010 0.8990 0.2500
4 Cr 0.8990 0.1010 0.7500
5 Si 0.2174 0.3850 0.2722
6 Si 0.3850 0.2174 0.7722
7 Si 0.6150 0.7826 0.2278
8 Si 0.7826 0.6150 0.7278
9 O 0.0318 0.2149 0.1517
10 O 0.1505 0.6117 0.3793
11 O 0.2149 0.0318 0.6517
12 O 0.3229 0.3753 0.0267
13 O 0.3753 0.3229 0.5267
14 O 0.3883 0.8495 0.1207
15 O 0.6117 0.1505 0.8793
16 O 0.6247 0.6771 0.4733
17 O 0.6771 0.6247 0.9733
18 O 0.7851 0.9682 0.3483
19 O 0.8495 0.3883 0.6207
20 O 0.9682 0.7851 0.8483

Most intense lines, 5° ≤ 2θ ≤ 70°, in order of falling intensity:
2θ (°)	Rel. int.
32.63	100
27.92	81
26.62	72
30.28	67
36.05	65
39.67	60
29.33	50
19.08	47

***

No. 2
Starting from a structure optimized by DFT (PBE+U), the powder diffractogram of ZnCrSiO5 was computed for Cu Kα (weighted mean of Kα1 and Kα2).

Structure:
Unit cell a=5.3583 b=5.4230 c=7.0793 alpha=107.72 beta=108.01 gamma=97.94
Sites, in units of the cell vectors:
1 Zn 0.0000 0.0000 0.0000
2 Zn 0.4714 0.7297 0.5117
3 Cr 0.7325 0.3637 0.7528
4 Cr 0.7352 0.3632 0.2534
5 Si 0.0576 0.9947 0.4981
6 Si 0.4094 0.7314 0.0100
7 O 0.0495 0.6708 0.4045
8 O 0.0767 0.6282 0.8777
9 O 0.3893 0.1007 0.6335
10 O 0.4202 0.0560 0.1053
11 O 0.5045 0.6131 0.2000
12 O 0.5826 0.6785 0.8525
13 O 0.6542 0.4344 0.5023
14 O 0.8147 0.2926 0.0060
15 O 0.8806 0.0475 0.6526
16 O 0.9653 0.1130 0.3077

Most intense lines, 5° ≤ 2θ ≤ 70°, in order of falling intensity:
2θ (°)	Rel. int.
27.50	100
28.53	86
35.92	42
51.67	23
18.01	21
45.03	19
36.30	17
62.89	15

***

No. 3
Starting from a structure optimized by DFT (PBE+U), the powder diffractogram of SmCrO4 was computed for Cu Kα (weighted mean of Kα1 and Kα2).

Structure:
Unit cell a=6.1034 b=6.1034 c=6.1034 alpha=105.89 beta=105.89 gamma=116.91
Sites, in units of the cell vectors:
1 Sm 0.3750 0.6250 0.7500
2 Sm 0.6250 0.3750 0.2500
3 Cr 0.1250 0.8750 0.2500
4 Cr 0.8750 0.1250 0.7500
5 O 0.1357 0.7041 0.4316
6 O 0.2276 0.2959 0.9316
7 O 0.2959 0.2276 0.4316
8 O 0.2959 0.8643 0.0684
9 O 0.7041 0.1357 0.9316
10 O 0.7041 0.7724 0.5684
11 O 0.7724 0.7041 0.0684
12 O 0.8643 0.2959 0.5684

Most intense lines, 5° ≤ 2θ ≤ 70°, in order of falling intensity:
2θ (°)	Rel. int.
24.20	100
32.91	68
48.41	58
18.40	31
34.49	22
60.79	17
49.57	16
55.90	13

***

No. 4
Starting from a structure optimized by DFT (PBE+U), the powder diffractogram of SmCr2O2 was computed for Cu Kα (weighted mean of Kα1 and Kα2).

Structure:
Unit cell a=7.9430 b=7.9430 c=7.9430 alpha=115.70 beta=115.70 gamma=97.63
Sites, in units of the cell vectors:
1 Sm 0.0000 0.0000 0.0000
2 Sm 0.0000 0.0000 0.5000
3 Sm 0.0000 0.5000 0.0000
4 Sm 0.5000 0.0000 0.5000
5 Cr 0.0918 0.6336 0.4582
6 Cr 0.3246 0.3664 0.9582
7 Cr 0.3664 0.3246 0.4582
8 Cr 0.3664 0.9082 0.0418
9 Cr 0.6336 0.0918 0.9582
10 Cr 0.6336 0.6754 0.5418
11 Cr 0.6754 0.6336 0.0418
12 Cr 0.9082 0.3664 0.5418
13 O 0.2030 0.2854 0.5824
14 O 0.2030 0.6206 0.9176
15 O 0.2854 0.2030 0.0824
16 O 0.3794 0.7970 0.5824
17 O 0.6206 0.2030 0.4176
18 O 0.7146 0.7970 0.9176
19 O 0.7970 0.3794 0.0824
20 O 0.7970 0.7146 0.4176

Most intense lines, 5° ≤ 2θ ≤ 70°, in order of falling intensity:
2θ (°)	Rel. int.
29.89	100
35.01	55
27.12	50
13.47	38
42.79	31
27.67	30
51.40	26
41.19	23

***

No. 5
Starting from a structure optimized by DFT (PBE+U), the powder diffractogram of SmCrO3 was computed for Cu Kα (weighted mean of Kα1 and Kα2).

Structure:
Unit cell a=3.8776 b=3.8776 c=3.8776 alpha=90.00 beta=90.00 gamma=90.00
Sites, in units of the cell vectors:
1 Sm 0.0000 0.0000 0.0000
2 Cr 0.5000 0.5000 0.5000
3 O 0.0000 0.5000 0.5000
4 O 0.5000 0.0000 0.5000
5 O 0.5000 0.5000 0.0000

Most intense lines, 5° ≤ 2θ ≤ 70°, in order of falling intensity:
2θ (°)	Rel. int.
32.66	100
58.29	38
46.86	32
40.29	22
22.94	20
68.43	19
52.79	11

***

No. 6
Starting from a structure optimized by DFT (PBE+U), the powder diffractogram of Sm2Cr2O5 was computed for Cu Kα (weighted mean of Kα1 and Kα2).

Structure:
Unit cell a=8.8005 b=8.8005 c=8.8005 alpha=53.22 beta=142.26 gamma=143.90
Sites, in units of the cell vectors:
1 Sm 0.0075 0.1186 0.1261
2 Sm 0.0075 0.3814 0.3890
3 Sm 0.9925 0.6186 0.6110
4 Sm 0.9925 0.8814 0.8739
5 Cr 0.4810 0.4810 0.0000
6 Cr 0.4810 0.9810 0.5000
7 Cr 0.5006 0.7554 0.2451
8 Cr 0.5103 0.2554 0.7549
9 O 0.0276 0.6664 0.8612
10 O 0.3542 0.0720 0.5303
11 O 0.3542 0.3239 0.7822
12 O 0.4960 0.2082 0.2285
13 O 0.4960 0.7675 0.7878
14 O 0.5417 0.5720 0.2178
15 O 0.5417 0.8239 0.4697
16 O 0.8052 0.1664 0.1388
17 O 0.9796 0.2675 0.7715
18 O 0.9796 0.7082 0.2122

Most intense lines, 5° ≤ 2θ ≤ 70°, in order of falling intensity:
2θ (°)	Rel. int.
32.16	100
22.59	41
46.12	40
31.43	30
32.85	30
56.42	25
58.21	20
67.28	13

***

Copy entry 3 word for word.
Starting from a structure optimized by DFT (PBE+U), the powder diffractogram of SmCrO4 was computed for Cu Kα (weighted mean of Kα1 and Kα2).

Structure:
Unit cell a=6.1034 b=6.1034 c=6.1034 alpha=105.89 beta=105.89 gamma=116.91
Sites, in units of the cell vectors:
1 Sm 0.3750 0.6250 0.7500
2 Sm 0.6250 0.3750 0.2500
3 Cr 0.1250 0.8750 0.2500
4 Cr 0.8750 0.1250 0.7500
5 O 0.1357 0.7041 0.4316
6 O 0.2276 0.2959 0.9316
7 O 0.2959 0.2276 0.4316
8 O 0.2959 0.8643 0.0684
9 O 0.7041 0.1357 0.9316
10 O 0.7041 0.7724 0.5684
11 O 0.7724 0.7041 0.0684
12 O 0.8643 0.2959 0.5684

Most intense lines, 5° ≤ 2θ ≤ 70°, in order of falling intensity:
2θ (°)	Rel. int.
24.20	100
32.91	68
48.41	58
18.40	31
34.49	22
60.79	17
49.57	16
55.90	13

***

What did the fifth record say?
Starting from a structure optimized by DFT (PBE+U), the powder diffractogram of SmCrO3 was computed for Cu Kα (weighted mean of Kα1 and Kα2).

Structure:
Unit cell a=3.8776 b=3.8776 c=3.8776 alpha=90.00 beta=90.00 gamma=90.00
Sites, in units of the cell vectors:
1 Sm 0.0000 0.0000 0.0000
2 Cr 0.5000 0.5000 0.5000
3 O 0.0000 0.5000 0.5000
4 O 0.5000 0.0000 0.5000
5 O 0.5000 0.5000 0.0000

Most intense lines, 5° ≤ 2θ ≤ 70°, in order of falling intensity:
2θ (°)	Rel. int.
32.66	100
58.29	38
46.86	32
40.29	22
22.94	20
68.43	19
52.79	11

***

Copy entry 1 word for word.
Starting from a structure optimized by DFT (PBE+U), the powder diffractogram of ZnCrSi2O6 was computed for Cu Kα (weighted mean of Kα1 and Kα2).

Structure:
Unit cell a=6.9451 b=6.9451 c=5.3520 alpha=105.24 beta=105.24 gamma=88.00
Sites, in units of the cell vectors:
1 Zn 0.2414 0.7586 0.7500
2 Zn 0.7586 0.2414 0.2500
3 Cr 0.1010 0.8990 0.2500
4 Cr 0.8990 0.1010 0.7500
5 Si 0.2174 0.3850 0.2722
6 Si 0.3850 0.2174 0.7722
7 Si 0.6150 0.7826 0.2278
8 Si 0.7826 0.6150 0.7278
9 O 0.0318 0.2149 0.1517
10 O 0.1505 0.6117 0.3793
11 O 0.2149 0.0318 0.6517
12 O 0.3229 0.3753 0.0267
13 O 0.3753 0.3229 0.5267
14 O 0.3883 0.8495 0.1207
15 O 0.6117 0.1505 0.8793
16 O 0.6247 0.6771 0.4733
17 O 0.6771 0.6247 0.9733
18 O 0.7851 0.9682 0.3483
19 O 0.8495 0.3883 0.6207
20 O 0.9682 0.7851 0.8483

Most intense lines, 5° ≤ 2θ ≤ 70°, in order of falling intensity:
2θ (°)	Rel. int.
32.63	100
27.92	81
26.62	72
30.28	67
36.05	65
39.67	60
29.33	50
19.08	47